(1)
Calculated powder diffractogram of PmDy3Ho5 for Cu Ka, from a cell relaxed with PBE.
Lines closer than 0.1° are merged.

Most intense lines, 5 to 70 degrees two-theta, in order of rising 2θ:
d_spacing, two_theta, Rel. int., (hkl)
3.140, 28.43, 52, 1 1 3
2.902, 30.81, 47, 2 2 0
2.869, 31.17, 100, 6 0 0
2.810, 31.85, 37, 2 2 -1
2.796, 32.01, 92, 3 1 -3
2.785, 32.14, 82, 3 1 3

Structural model:
a = 17.2148 Å, b = 6.1661 Å, c = 11.1986 Å
α = 90.00°, β = 90.28°, γ = 90.00°
Space group C2/c (No. 15)
One atom of each set of equivalent atoms:
Pm 0.0000 0.1195 0.2500 x4
Dy 0.0000 0.0000 0.0000 x4
Dy 0.1650 0.2763 0.0845 x8
Ho 0.0000 0.4064 0.7500 x4
Ho 0.1651 0.2745 0.4143 x8
Ho 0.1727 0.2032 0.7492 x8

(2)
Calculated powder diffractogram of Ba2InBi3 for Cu Ka, from a cell relaxed with PBE.
Lines closer than 0.1° are merged.

Most intense lines, 5 to 70 degrees two-theta, in order of rising 2θ:
d_spacing, two_theta, Rel. int., (hkl)
3.336, 26.72, 94, 0 1 5
3.190, 27.97, 84, 2 1 0
3.087, 28.93, 48, 1 1 5
2.922, 30.59, 100, 2 1 3
2.575, 34.84, 96, 0 2 0
2.540, 35.33, 41, 3 0 3

Structural model:
a = 8.1287 Å, b = 5.1476 Å, c = 21.9068 Å
α = 90.00°, β = 90.00°, γ = 90.00°
Space group Pnma (No. 62)
One atom of each set of equivalent atoms:
Ba 0.1494 0.2500 0.2144 x4
Ba 0.1797 0.2500 0.4297 x4
In 0.0142 0.7500 0.0622 x4
Bi 0.0458 0.2500 0.6512 x4
Bi 0.1704 0.2500 0.8142 x4
Bi 0.2234 0.2500 0.0531 x4